Record 1
Structure and computed PXRD pattern of RbAg4I5 (a DFT-relaxed cell (GGA-PBE, the Materials Project); Cu Ka).

The 10 most intense peaks (10 to 80 degrees two-theta), in order of rising 2θ:
d_spacing	I_rel
8.308	40
8.187	100
3.877	63
3.849	24
3.544	54
3.516	45
3.468	36
3.453	23
2.312	41
2.153	28

Cell and atoms:
a b c (Å): 11.418 11.704 11.797
angles (deg): 90.27 90.10 90.50
Fractional coordinates of all 40 atoms:
Rb1 0.000 0.000 0.000
Rb2 0.220 0.743 0.503
Rb3 0.461 0.254 0.269
Rb4 0.749 0.491 0.757
Ag1 0.095 0.573 0.165
Ag2 0.150 0.342 0.867
Ag3 0.154 0.383 0.475
Ag4 0.249 0.112 0.585
Ag5 0.312 0.138 0.830
Ag6 0.364 0.521 0.851
Ag7 0.523 0.653 0.061
Ag8 0.543 0.829 0.877
Ag9 0.570 0.920 0.649
Ag10 0.586 0.005 0.043
Ag11 0.676 0.823 0.183
Ag12 0.687 0.055 0.462
Ag13 0.720 0.533 0.156
Ag14 0.822 0.461 0.385
Ag15 0.837 0.831 0.376
Ag16 0.892 0.165 0.589
I1 0.036 0.800 0.247
I2 0.071 0.159 0.425
I3 0.141 0.581 0.924
I4 0.186 0.944 0.748
I5 0.238 0.201 0.049
I6 0.284 0.503 0.308
I7 0.324 0.340 0.671
I8 0.398 0.848 0.093
I9 0.436 0.993 0.458
I10 0.485 0.683 0.697
I11 0.542 0.428 0.003
I12 0.566 0.091 0.827
I13 0.644 0.659 0.352
I14 0.681 0.296 0.506
I15 0.743 0.060 0.215
I16 0.770 0.749 0.967
I17 0.822 0.909 0.601
I18 0.914 0.398 0.171
I19 0.927 0.243 0.811
I20 0.980 0.541 0.551

Record 2
Structure and computed PXRD pattern of RbAg4I5 (a DFT-relaxed cell (GGA-PBE, the Materials Project); Cu Ka).

The 10 most intense peaks (10 to 80 degrees two-theta), in order of rising 2θ:
d_spacing	I_rel
8.441	100
8.277	96
3.924	35
3.891	69
3.588	62
3.569	48
3.552	40
3.528	49
3.518	48
2.335	34

Cell and atoms:
a b c (Å): 11.690 11.748 11.943
angles (deg): 88.52 89.01 89.56
Fractional coordinates of all 40 atoms:
Rb1 0.000 0.000 0.000
Rb2 0.211 0.486 0.234
Rb3 0.432 0.201 0.727
Rb4 0.729 0.783 0.465
Ag1 0.052 0.679 0.582
Ag2 0.090 0.660 0.829
Ag3 0.122 0.424 0.596
Ag4 0.190 0.105 0.330
Ag5 0.289 0.936 0.495
Ag6 0.332 0.697 0.879
Ag7 0.538 0.780 0.096
Ag8 0.550 0.022 0.170
Ag9 0.565 0.518 0.158
Ag10 0.571 0.263 0.079
Ag11 0.587 0.595 0.894
Ag12 0.801 0.345 0.181
Ag13 0.815 0.368 0.931
Ag14 0.817 0.326 0.427
Ag15 0.843 0.586 0.798
Ag16 0.865 0.370 0.668
I1 0.015 0.247 0.182
I2 0.043 0.408 0.827
I3 0.096 0.884 0.386
I4 0.158 0.727 0.041
I5 0.177 0.057 0.770
I6 0.263 0.286 0.466
I7 0.278 0.627 0.652
I8 0.345 0.115 0.132
I9 0.418 0.438 0.979
I10 0.458 0.679 0.293
I11 0.508 0.978 0.538
I12 0.532 0.829 0.869
I13 0.603 0.315 0.313
I14 0.654 0.500 0.677
I15 0.704 0.167 0.910
I16 0.747 0.904 0.181
I17 0.792 0.571 0.055
I18 0.867 0.155 0.578
I19 0.910 0.806 0.732
I20 0.946 0.536 0.425

Record 3
Structure and computed PXRD pattern of RbAg4I5 (a DFT-relaxed cell (GGA-PBE, the Materials Project); Cu Ka).

The 10 most intense peaks (10 to 80 degrees two-theta), in order of rising 2θ:
d_spacing	I_rel
8.554	57
5.405	81
4.129	74
3.924	59
3.820	60
3.594	47
3.338	50
3.144	45
2.424	100
2.396	50

Cell and atoms:
a b c (Å): 11.787 12.050 12.245
angles (deg): 90.17 93.40 93.36
Fractional coordinates of all 40 atoms:
Rb1 0.000 0.000 0.000
Rb2 0.094 0.347 0.371
Rb3 0.481 0.816 0.126
Rb4 0.751 0.594 0.627
Ag1 0.010 0.713 0.822
Ag2 0.257 0.557 0.992
Ag3 0.292 0.264 0.693
Ag4 0.311 0.049 0.534
Ag5 0.354 0.743 0.737
Ag6 0.377 0.385 0.151
Ag7 0.402 0.489 0.730
Ag8 0.428 0.653 0.410
Ag9 0.448 0.062 0.919
Ag10 0.470 0.911 0.434
Ag11 0.550 0.290 0.358
Ag12 0.596 0.217 0.778
Ag13 0.620 0.233 0.139
Ag14 0.643 0.098 0.511
Ag15 0.758 0.504 0.969
Ag16 0.982 0.802 0.430
I1 0.031 0.974 0.292
I2 0.118 0.147 0.593
I3 0.168 0.539 0.783
I4 0.174 0.265 0.108
I5 0.270 0.788 0.523
I6 0.274 0.604 0.211
I7 0.275 0.895 0.901
I8 0.396 0.099 0.315
I9 0.409 0.297 0.890
I10 0.441 0.434 0.508
I11 0.526 0.012 0.677
I12 0.544 0.650 0.851
I13 0.609 0.457 0.165
I14 0.640 0.773 0.388
I15 0.664 0.045 0.032
I16 0.778 0.222 0.386
I17 0.793 0.345 0.812
I18 0.911 0.681 0.021
I19 0.927 0.576 0.403
I20 0.934 0.852 0.662

Record 4
Structure and computed PXRD pattern of Rb2AgSbI6 (a DFT-relaxed cell (GGA-PBE, the Materials Project); Cu Ka).

The 10 most intense peaks (10 to 80 degrees two-theta), in order of rising 2θ:
d_spacing	I_rel
6.043	39
3.489	69
3.022	100
2.703	21
2.137	74
1.822	32
1.745	26
1.386	13
1.351	33
1.234	25

Cell and atoms:
a b c (Å): 8.547 8.547 8.547
angles (deg): 60.00 60.00 60.00
Fractional coordinates of all 10 atoms:
Rb1 0.250 0.250 0.250
Rb2 0.750 0.750 0.750
Ag1 0.000 0.000 0.000
Sb1 0.500 0.500 0.500
I1 0.249 0.249 0.751
I2 0.249 0.751 0.249
I3 0.249 0.751 0.751
I4 0.751 0.249 0.249
I5 0.751 0.249 0.751
I6 0.751 0.751 0.249

Record 5
Structure and computed PXRD pattern of Rb2ScAgI6 (a DFT-relaxed cell (GGA-PBE, the Materials Project); Cu Ka).

The 10 most intense peaks (10 to 80 degrees two-theta), in order of rising 2θ:
d_spacing	I_rel
5.940	26
3.429	98
2.970	100
2.656	14
2.100	73
1.791	45
1.715	25
1.363	18
1.328	32
1.213	24

Cell and atoms:
a b c (Å): 8.400 8.400 8.400
angles (deg): 60.00 60.00 60.00
Fractional coordinates of all 10 atoms:
Rb1 0.250 0.250 0.250
Rb2 0.750 0.750 0.750
Sc1 0.000 0.000 0.000
Ag1 0.500 0.500 0.500
I1 0.244 0.244 0.756
I2 0.244 0.756 0.244
I3 0.244 0.756 0.756
I4 0.756 0.244 0.244
I5 0.756 0.244 0.756
I6 0.756 0.756 0.244

Record 6
Structure and computed PXRD pattern of Rb2TaAgI6 (a DFT-relaxed cell (GGA-PBE, the Materials Project); Cu Ka).

The 10 most intense peaks (10 to 80 degrees two-theta), in order of rising 2θ:
d_spacing	I_rel
5.887	50
4.163	15
3.399	53
2.944	100
2.633	27
2.081	73
1.775	23
1.699	25
1.316	32
1.202	24

Cell and atoms:
a b c (Å): 8.326 8.326 8.326
angles (deg): 60.00 60.00 60.00
Fractional coordinates of all 10 atoms:
Rb1 0.250 0.250 0.250
Rb2 0.750 0.750 0.750
Ta1 0.000 0.000 0.000
Ag1 0.500 0.500 0.500
I1 0.242 0.242 0.758
I2 0.242 0.758 0.242
I3 0.242 0.758 0.758
I4 0.758 0.242 0.242
I5 0.758 0.242 0.758
I6 0.758 0.758 0.242

Record 7
Structure and computed PXRD pattern of Rb2YAgI6 (a DFT-relaxed cell (GGA-PBE, the Materials Project); Cu Ka).

The 10 most intense peaks (10 to 80 degrees two-theta), in order of rising 2θ:
d_spacing	I_rel
6.068	34
3.503	79
3.034	100
2.714	18
2.145	74
1.830	37
1.752	26
1.392	15
1.357	33
1.239	25

Cell and atoms:
a b c (Å): 8.582 8.582 8.582
angles (deg): 60.00 60.00 60.00
Fractional coordinates of all 10 atoms:
Rb1 0.250 0.250 0.250
Rb2 0.750 0.750 0.750
Y1 0.000 0.000 0.000
Ag1 0.500 0.500 0.500
I1 0.249 0.249 0.751
I2 0.249 0.751 0.249
I3 0.249 0.751 0.751
I4 0.751 0.249 0.249
I5 0.751 0.249 0.751
I6 0.751 0.751 0.249

Record 8
Structure and computed PXRD pattern of Ag3SI (a DFT-relaxed cell (GGA-PBE, the Materials Project); Cu Ka).

The 10 most intense peaks (10 to 80 degrees two-theta), in order of rising 2θ:
d_spacing	I_rel
5.010	1
3.542	3
2.892	100
2.505	67
2.045	1
1.771	45
1.510	40
1.446	15
1.339	1
1.252	7

Cell and atoms:
a b c (Å): 5.010 5.010 5.010
angles (deg): 90.00 90.00 90.00
Fractional coordinates of all 5 atoms:
Ag1 0.000 0.000 0.500
Ag2 0.000 0.500 0.000
Ag3 0.500 0.000 0.000
S1 0.000 0.000 0.000
I1 0.500 0.500 0.500